# 1
Diffraction record for Sr4ZnAs4. The powder X-ray diffraction pattern is calculated, not measured: it uses a crystal structure in Alexandria, relaxed with PBE and copper Kα.

Top 12 peaks for 15° ≤ 2θ ≤ 90°, sorted by position:
Position (°2θ)  d_spacing  Rel. int.  hkl
25.90  3.439  14  2 1 1
27.33  3.263  36  0 0 2
27.89  3.200  100  2 2 0
29.09  3.070  19  1 0 2
35.33  2.540  20  2 1 2
39.44  2.285  87  2 2 2
39.85  2.262  57  4 0 0
48.99  1.859  26  4 0 2
57.62  1.600  18  4 4 0
64.94  1.436  15  4 4 2
65.20  1.431  15  6 2 0
72.09  1.310  31  6 2 2

Unit cell a=9.050 b=9.050 c=6.526 alpha=90.00 beta=90.00 gamma=90.00
Space group P4_2/nmc (No. 137, origin choice 2)
Asymmetric unit:
Sr  0.016  0.250  0.052 x8
Zn  0.250  0.750  0.250 x2
As  0.015  0.750  0.459 x8



# 2
Diffraction record for Na3InB2O6. The powder X-ray diffraction pattern is calculated, not measured: it uses a crystal structure in Alexandria, relaxed with PBE and copper Kα.

Top 12 peaks for 15° ≤ 2θ ≤ 90°, sorted by position:
Position (°2θ)  d_spacing  Rel. int.  hkl
19.44  4.566  98  1 0 0
24.17  3.682  79  1 0 1
34.01  2.636  58  1 1 0
34.88  2.572  100  1 0 2
37.04  2.427  23  1 1 1
42.16  2.143  39  2 0 1
45.07  2.012  19  1 1 2
49.52  1.841  57  2 0 2
53.07  1.726  21  2 1 0
55.24  1.663  18  1 2 1
61.43  1.509  26  2 1 2
82.18  1.173  15  1 3 2

Unit cell a=5.2719 b=5.2719 c=6.2258 alpha=90.00 beta=90.00 gamma=120.00
Space group P-3m1 (No. 164)
Asymmetric unit:
Na  0.0000  0.0000  0.0000 x1
Na  0.3333  0.6667  0.7593 x2
In  0.0000  0.0000  0.5000 x1
B  0.3333  0.6667  0.2804 x2
O  0.1817  0.3634  0.2740 x6



# 3
Diffraction record for Tm2Mg2Sc3. The powder X-ray diffraction pattern is calculated, not measured: it uses a crystal structure in Alexandria, relaxed with PBE and copper Kα.

Top 12 peaks for 15° ≤ 2θ ≤ 90°, sorted by position:
Position (°2θ)  d_spacing  Rel. int.  hkl
16.11  5.502  25  0 4 0
21.36  4.160  32  1 3 0
26.87  3.318  40  1 5 0
28.67  3.114  45  0 2 1
33.05  2.710  40  1 1 1
33.58  2.669  100  1 7 0
35.06  2.559  41  1 3 1
35.55  2.525  44  2 0 0
38.81  2.321  53  1 5 1
46.29  1.961  25  2 2 1
50.07  1.822  23  0 10 1
67.54  1.387  28  1 7 2

Unit cell a=5.050 b=22.010 c=3.246 alpha=90.00 beta=90.00 gamma=90.00
Space group Cmmm (No. 65)
Asymmetric unit:
Tm  0.000  0.212  0.000 x4
Mg  0.000  0.069  0.000 x4
Sc  0.000  0.352  0.500 x4
Sc  0.000  0.500  0.500 x2